Structure and computed powder diffractogram of Cs2V4O9 (a structure optimized by DFT (GGA+U); Cu Kα (weighted mean of Kα1 and Kα2)).
Neutral-atom scattering factors, no anomalous dispersion.

Lattice parameters (Å, degrees): 8.2715 8.2876 31.2458 90.00 90.00 90.00
Space group Fdd2 (No. 43)
Unique sites:
Cs 0.0088 0.2590 0.0000 (multiplicity 16)
V 0.0337 0.1765 0.3513 (multiplicity 16)
V 0.0740 0.2159 0.1486 (multiplicity 16)
O 0.0000 0.0000 0.1250 (multiplicity 8)
O 0.0138 0.2249 0.1996 (multiplicity 16)
O 0.0244 0.2368 0.3003 (multiplicity 16)
O 0.0317 0.1513 0.8907 (multiplicity 16)
O 0.0990 0.2192 0.6091 (multiplicity 16)

The 8 most intense peaks (15° ≤ 2θ ≤ 90°), sorted by position:
2θ/deg, I_rel
22.2, 33.8
22.8, 34.0
27.5, 100.0
30.5, 51.1
32.7, 14.9
38.4, 17.0
46.2, 24.0
52.5, 20.2